For Zr5Co4Ni, a GGA-PBE-relaxed structure gives the computed powder diffractogram in this record (Cu Ka).

```
data_Zr5Co4Ni
_space_group_name_H-M_alt 'P 4/m m m'
_space_group_IT_number 123
_space_group_name_Hall '-P 4 2'
_cell_length_a 3.221
_cell_length_b 3.221
_cell_length_c 16.061
_cell_angle_alpha 90.00
_cell_angle_beta 90.00
_cell_angle_gamma 90.00
loop_
_atom_site_label
_atom_site_type_symbol
_atom_site_fract_x
_atom_site_fract_y
_atom_site_fract_z
Zr1 Zr 0.000 0.000 0.000
Zr2 Zr 0.000 0.000 0.200
Zr3 Zr 0.000 0.000 0.399
Co1 Co 0.500 0.500 0.100
Co2 Co 0.500 0.500 0.299
Ni1 Ni 0.500 0.500 0.500
```

Largest 9 diffraction maxima, in order of falling intensity, 2θ from 10° to 80°:
hkl, two_theta, I_rel
1 1 0, 39.6, 100.0
2 1 5, 71.8, 21.0
2 0 0, 57.2, 10.8
1 1 10, 71.9, 10.5
0 0 10, 57.4, 5.4
1 0 0, 27.7, 5.0
1 1 5, 49.0, 1.4
2 1 0, 64.7, 1.3
1 0 10, 64.9, 0.6

For BaSrI4, a GGA-PBE-relaxed structure gives the computed powder diffractogram in this record (Cu Ka).

```
data_BaSrI4
_space_group_name_H-M_alt 'R 3 c'
_space_group_IT_number 161
_space_group_name_Hall 'R 3 -2"c'
_cell_length_a 24.2724
_cell_length_b 24.2724
_cell_length_c 10.3570
_cell_angle_alpha 90.00
_cell_angle_beta 90.00
_cell_angle_gamma 120.00
loop_
_atom_site_label
_atom_site_type_symbol
_atom_site_fract_x
_atom_site_fract_y
_atom_site_fract_z
Ba1 Ba 0.0250 0.2260 0.0000
Sr1 Sr 0.1362 0.4504 0.1971
I1 I 0.0138 0.2974 0.2876
I2 I 0.0446 0.4869 0.3675
I3 I 0.0488 0.1208 0.4465
I4 I 0.2128 0.4473 0.4557
```

Largest 10 diffraction maxima, in order of falling intensity, 2θ from 10° to 80°:
hkl, two_theta, I_rel
5 0 2, 27.3, 100.0
5 1 1, 25.1, 89.7
6 0 0, 25.4, 60.4
3 1 2, 23.0, 45.1
0 7 2, 34.5, 39.1
3 4 2, 31.1, 36.3
1 4 3, 32.5, 33.9
5 2 0, 26.5, 33.6
6 5 1, 41.9, 32.1
4 5 2, 37.6, 31.7

For NiSe, a GGA-PBE-relaxed structure gives the computed powder diffractogram in this record (Cu Ka).

```
data_NiSe
_space_group_name_H-M_alt 'P 63/m m c'
_space_group_IT_number 194
_space_group_name_Hall '-P 6c 2c'
_cell_length_a 3.6918
_cell_length_b 3.6918
_cell_length_c 5.2151
_cell_angle_alpha 90.00
_cell_angle_beta 90.00
_cell_angle_gamma 120.00
loop_
_atom_site_label
_atom_site_type_symbol
_atom_site_fract_x
_atom_site_fract_y
_atom_site_fract_z
Ni1 Ni 0.0000 0.0000 0.0000
Se1 Se 0.3333 0.6667 0.2500
```

Largest 10 diffraction maxima, in order of falling intensity, 2θ from 10° to 80°:
hkl, two_theta, I_rel
1 0 1, 32.9, 100.0
1 0 2, 44.9, 95.3
1 1 0, 49.4, 67.8
2 0 1, 60.6, 33.3
2 0 2, 68.9, 24.7
1 0 0, 27.9, 10.7
0 0 4, 72.5, 6.8
2 1 0, 79.3, 1.4
2 0 0, 57.7, 1.1
1 1 2, 61.6, 0.9

For MgTi8O16, a GGA-PBE-relaxed structure gives the computed powder diffractogram in this record (Cu Ka).

```
data_MgTi8O16
_space_group_name_H-M_alt 'P 1'
_space_group_IT_number 1
_cell_length_a 5.204
_cell_length_b 5.648
_cell_length_c 9.378
_cell_angle_alpha 88.07
_cell_angle_beta 88.91
_cell_angle_gamma 88.41
loop_
_space_group_symop_operation_xyz
'x,y,z'
loop_
_atom_site_label
_atom_site_type_symbol
_atom_site_fract_x
_atom_site_fract_y
_atom_site_fract_z
Mg1 Mg 0.000 0.000 0.000
Ti1 Ti 0.152 0.699 0.754
Ti2 Ti 0.156 0.212 0.536
Ti3 Ti 0.395 0.736 0.270
Ti4 Ti 0.446 0.266 0.032
Ti5 Ti 0.625 0.013 0.771
Ti6 Ti 0.650 0.518 0.526
Ti7 Ti 0.890 0.022 0.296
Ti8 Ti 0.909 0.504 0.035
O1 O 0.080 0.759 0.162
O2 O 0.089 0.245 0.136
O3 O 0.224 0.987 0.390
O4 O 0.242 0.490 0.910
O5 O 0.338 0.996 0.895
O6 O 0.349 0.490 0.410
O7 O 0.482 0.241 0.634
O8 O 0.485 0.741 0.669
O9 O 0.584 0.536 0.136
O10 O 0.602 0.024 0.165
O11 O 0.718 0.779 0.396
O12 O 0.759 0.253 0.909
O13 O 0.845 0.762 0.886
O14 O 0.846 0.282 0.416
O15 O 0.986 0.504 0.633
O16 O 0.990 0.005 0.666
```

Largest 10 diffraction maxima, in order of falling intensity, 2θ from 10° to 80°:
hkl, two_theta, I_rel
0 1 -2, 25.1, 100.0
0 1 2, 24.3, 49.1
-1 1 2, 30.3, 37.6
1 -1 2, 30.5, 37.5
1 -2 0, 36.7, 21.0
2 0 -3, 45.8, 20.7
2 0 1, 35.7, 20.0
1 -1 1, 25.5, 19.9
-1 1 1, 25.4, 18.7
2 0 2, 39.3, 16.0

For Sm2Se3O9, a GGA-PBE-relaxed structure gives the computed powder diffractogram in this record (Cu Ka).

```
data_Sm2Se3O9
_space_group_name_H-M_alt 'P -1'
_space_group_IT_number 2
_cell_length_a 7.076
_cell_length_b 8.022
_cell_length_c 9.218
_cell_angle_alpha 70.24
_cell_angle_beta 75.93
_cell_angle_gamma 64.12
loop_
_space_group_symop_operation_xyz
'x,y,z'
'-x,-y,-z'
loop_
_atom_site_label
_atom_site_type_symbol
_atom_site_fract_x
_atom_site_fract_y
_atom_site_fract_z
Sm1 Sm 0.127 0.350 0.324
Sm2 Sm 0.272 0.689 0.872
Se1 Se 0.046 0.824 0.256
Se2 Se 0.309 0.234 0.965
Se3 Se 0.371 0.780 0.490
O1 O 0.040 0.336 0.593
O2 O 0.109 0.214 0.110
O3 O 0.141 0.785 0.617
O4 O 0.175 0.019 0.835
O5 O 0.179 0.663 0.143
O6 O 0.198 0.439 0.823
O7 O 0.328 0.014 0.415
O8 O 0.403 0.344 0.054
O9 O 0.469 0.314 0.358
```

Largest 10 diffraction maxima, in order of falling intensity, 2θ from 10° to 80°:
hkl, two_theta, I_rel
1 0 -2, 26.3, 100.0
2 1 1, 25.5, 74.6
0 2 0, 25.6, 67.8
0 1 1, 14.0, 58.3
1 1 3, 29.6, 57.1
2 0 1, 29.0, 39.9
1 2 -2, 37.1, 33.5
0 2 -1, 30.2, 27.2
1 3 2, 34.8, 23.2
1 2 -3, 46.2, 22.8

For Ca2Gd3Si3O13, a GGA-PBE-relaxed structure gives the computed powder diffractogram in this record (Cu Ka).

```
data_Ca2Gd3Si3O13
_space_group_name_H-M_alt 'P 63/m'
_space_group_IT_number 176
_space_group_name_Hall '-P 6c'
_cell_length_a 9.5167
_cell_length_b 9.5167
_cell_length_c 6.9568
_cell_angle_alpha 90.00
_cell_angle_beta 90.00
_cell_angle_gamma 120.00
loop_
_atom_site_label
_atom_site_type_symbol
_atom_site_fract_x
_atom_site_fract_y
_atom_site_fract_z
Ca1 Ca 0.3333 0.6667 0.0038
Gd1 Gd 0.0068 0.2481 0.2500
Si1 Si 0.0258 0.3952 0.7500
O1 O 0.0000 0.0000 0.2500
O2 O 0.0902 0.3339 0.5651
O3 O 0.1200 0.5936 0.7500
O4 O 0.1707 0.6914 0.2500
```

Largest 10 diffraction maxima, in order of falling intensity, 2θ from 10° to 80°:
hkl, two_theta, I_rel
2 1 1, 31.5, 100.0
1 1 1, 22.6, 37.0
2 1 3, 49.0, 33.8
0 0 2, 25.6, 31.7
1 0 0, 10.7, 24.9
4 0 2, 51.6, 24.4
3 2 1, 50.0, 23.6
1 1 2, 31.9, 18.9
2 1 0, 28.7, 16.2
1 0 2, 27.8, 16.1

For Cs3YO3, a GGA-PBE-relaxed structure gives the computed powder diffractogram in this record (Cu Ka).

```
data_Cs3YO3
_space_group_name_H-M_alt 'C 1 2/m 1'
_space_group_IT_number 12
_cell_length_a 8.030
_cell_length_b 12.985
_cell_length_c 7.686
_cell_angle_alpha 90.00
_cell_angle_beta 101.00
_cell_angle_gamma 90.00
loop_
_space_group_symop_operation_xyz
'x,y,z'
'-x,-y,-z'
'-x,y,-z'
'x,-y,z'
'x+1/2,y+1/2,z'
'-x+1/2,-y+1/2,-z'
'-x+1/2,y+1/2,-z'
'x+1/2,-y+1/2,z'
loop_
_atom_site_label
_atom_site_type_symbol
_atom_site_fract_x
_atom_site_fract_y
_atom_site_fract_z
Cs1 Cs 0.000 0.211 0.000
Cs2 Cs 0.000 0.262 0.500
Cs3 Cs 0.143 0.500 0.851
Y1 Y 0.174 0.000 0.650
O1 O 0.101 0.000 0.357
O2 O 0.197 0.365 0.236
```

Largest 10 diffraction maxima, in order of falling intensity, 2θ from 10° to 80°:
hkl, two_theta, I_rel
2 2 0, 26.5, 100.0
0 2 2, 27.3, 88.6
0 4 0, 27.5, 81.7
1 3 1, 27.2, 72.4
2 0 2, 36.0, 48.7
2 2 -2, 32.6, 48.3
1 1 -2, 25.1, 44.3
0 2 4, 50.4, 32.1
4 2 0, 48.3, 31.6
3 1 -1, 34.6, 30.3

For HoB4Rh7, a GGA-PBE-relaxed structure gives the computed powder diffractogram in this record (Cu Ka).

```
data_HoB4Rh7
_space_group_name_H-M_alt 'P m m 2'
_space_group_IT_number 25
_cell_length_a 2.916
_cell_length_b 9.618
_cell_length_c 5.556
_cell_angle_alpha 90.00
_cell_angle_beta 90.00
_cell_angle_gamma 90.00
loop_
_space_group_symop_operation_xyz
'x,y,z'
'-x,-y,z'
'-x,y,z'
'x,-y,z'
loop_
_atom_site_label
_atom_site_type_symbol
_atom_site_fract_x
_atom_site_fract_y
_atom_site_fract_z
Ho1 Ho 0.000 0.000 0.000
B1 B 0.000 0.167 0.500
B2 B 0.000 0.334 0.000
Rh1 Rh 0.000 0.500 0.500
Rh2 Rh 0.500 0.000 0.497
Rh3 Rh 0.500 0.249 0.751
Rh4 Rh 0.500 0.253 0.254
Rh5 Rh 0.500 0.500 0.994
```

Largest 10 diffraction maxima, in order of falling intensity, 2θ from 10° to 80°:
hkl, two_theta, I_rel
0 4 0, 37.4, 100.0
1 2 0, 36.0, 60.7
1 3 1, 45.1, 38.8
1 5 1, 60.0, 27.6
2 4 0, 76.4, 24.1
0 6 2, 67.4, 18.9
1 4 0, 49.1, 16.5
1 5 3, 78.9, 12.5
1 6 0, 66.6, 11.7
0 8 0, 79.7, 10.7

For Cu9P8O32, a GGA-PBE-relaxed structure gives the computed powder diffractogram in this record (Cu Ka).

```
data_Cu9P8O32
_space_group_name_H-M_alt 'P -1'
_space_group_IT_number 2
_cell_length_a 8.791
_cell_length_b 8.962
_cell_length_c 9.167
_cell_angle_alpha 111.44
_cell_angle_beta 99.47
_cell_angle_gamma 106.54
loop_
_space_group_symop_operation_xyz
'x,y,z'
'-x,-y,-z'
loop_
_atom_site_label
_atom_site_type_symbol
_atom_site_fract_x
_atom_site_fract_y
_atom_site_fract_z
Cu1 Cu 0.000 0.000 0.000
Cu2 Cu 0.000 0.500 0.500
Cu3 Cu 0.209 0.225 0.431
Cu4 Cu 0.284 0.611 0.059
Cu5 Cu 0.351 0.186 0.945
Cu6 Cu 0.500 0.000 0.500
P1 P 0.030 0.381 0.149
P2 P 0.164 0.876 0.601
P3 P 0.350 0.079 0.234
P4 P 0.403 0.432 0.787
O1 O 0.016 0.157 0.490
O2 O 0.068 0.385 0.324
O3 O 0.090 0.242 0.049
O4 O 0.119 0.561 0.156
O5 O 0.155 0.039 0.212
O6 O 0.160 0.664 0.913
O7 O 0.185 0.700 0.561
O8 O 0.195 0.968 0.791
O9 O 0.284 0.297 0.825
O10 O 0.286 0.983 0.540
O11 O 0.309 0.430 0.630
O12 O 0.399 0.082 0.083
O13 O 0.406 0.945 0.272
O14 O 0.415 0.256 0.390
O15 O 0.430 0.589 0.221
O16 O 0.442 0.618 0.933
```

Largest 10 diffraction maxima, in order of falling intensity, 2θ from 10° to 80°:
hkl, two_theta, I_rel
1 1 -1, 16.9, 100.0
-1 2 1, 27.0, 65.6
0 0 2, 21.8, 58.4
-3 1 1, 31.1, 57.4
1 -2 1, 20.8, 50.1
2 1 -2, 28.0, 46.3
1 -1 3, 33.8, 44.7
1 -3 2, 31.7, 41.6
-1 2 2, 35.4, 40.5
1 -1 1, 15.5, 40.5

> Number 2 is which compound?

BaSrI4

> Number 3 is which compound?

NiSe